Calculated powder diffraction line list of W4Se8I for Cu Kα (weighted mean of Kα1 and Kα2), from a crystal structure in Alexandria, relaxed with GGA-PBE.

Largest 10 diffraction maxima, most intense first, 10 to 80 degrees two-theta:
two_theta, I/Imax
11.89, 100
37.32, 63
46.51, 40
16.84, 37
18.85, 25
33.06, 23
35.14, 18
26.77, 17
52.90, 17
48.20, 13

Atomic structure:
```
data_W4Se8I
_cell_length_a 10.6526
_cell_length_b 10.6526
_cell_length_c 10.6526
_cell_angle_alpha 91.32
_cell_angle_beta 91.32
_cell_angle_gamma 162.53
_symmetry_space_group_name_H-M 'P 1'
_symmetry_Int_Tables_number 1
_symmetry_space_group_name_Hall 'P 1'
loop_
_atom_site_label
_atom_site_type_symbol
_atom_site_fract_x
_atom_site_fract_y
_atom_site_fract_z
_atom_site_occupancy
W1 W 0.1937 0.3017 0.4954 1
W2 W 0.3017 0.8063 0.1081 1
W3 W 0.6983 0.1937 0.8919 1
W4 W 0.8063 0.6983 0.5046 1
Se1 Se 0.1306 0.8050 0.9356 1
Se2 Se 0.1642 0.5683 0.7325 1
Se3 Se 0.1950 0.1306 0.3257 1
Se4 Se 0.4317 0.1642 0.5959 1
Se5 Se 0.5683 0.8358 0.4041 1
Se6 Se 0.8050 0.8694 0.6743 1
Se7 Se 0.8358 0.4317 0.2675 1
Se8 Se 0.8694 0.1950 0.0644 1
I1 I 0.5000 0.5000 0.0000 1
```

Calculated powder diffraction line list of Y7SeI12 for Cu Kα (weighted mean of Kα1 and Kα2), from a crystal structure in Alexandria, relaxed with GGA-PBE.

Largest 10 diffraction maxima, most intense first, 10 to 80 degrees two-theta:
two_theta, I/Imax
29.30, 100
41.50, 36
42.33, 35
25.14, 32
51.61, 18
68.29, 14
69.47, 14
60.78, 11
49.51, 11
76.28, 10

Atomic structure:
```
data_Y7SeI12
_cell_length_a 9.6951
_cell_length_b 9.6951
_cell_length_c 9.6951
_cell_angle_alpha 108.03
_cell_angle_beta 108.03
_cell_angle_gamma 108.03
_symmetry_space_group_name_H-M 'P 1'
_symmetry_Int_Tables_number 1
_symmetry_space_group_name_Hall 'P 1'
loop_
_atom_site_label
_atom_site_type_symbol
_atom_site_fract_x
_atom_site_fract_y
_atom_site_fract_z
_atom_site_occupancy
Y1 Y 0.0000 0.0000 0.0000 1
Y2 Y 0.1903 0.4627 0.3932 1
Y3 Y 0.3932 0.1903 0.4627 1
Y4 Y 0.4627 0.3932 0.1903 1
Y5 Y 0.5373 0.6068 0.8097 1
Y6 Y 0.6068 0.8097 0.5373 1
Y7 Y 0.8097 0.5373 0.6068 1
Se1 Se 0.5000 0.5000 0.5000 1
I1 I 0.0297 0.1102 0.3469 1
I2 I 0.1102 0.3469 0.0297 1
I3 I 0.1873 0.5776 0.7256 1
I4 I 0.2744 0.8127 0.4224 1
I5 I 0.3469 0.0296 0.1102 1
I6 I 0.4224 0.2744 0.8127 1
I7 I 0.5776 0.7256 0.1873 1
I8 I 0.6531 0.9703 0.8898 1
I9 I 0.7256 0.1873 0.5776 1
I10 I 0.8127 0.4224 0.2744 1
I11 I 0.8898 0.6531 0.9703 1
I12 I 0.9703 0.8898 0.6531 1
```

Calculated powder diffraction line list of Y3Se3I for Cu Kα (weighted mean of Kα1 and Kα2), from a crystal structure in Alexandria, relaxed with GGA-PBE.

Largest 10 diffraction maxima, most intense first, 10 to 80 degrees two-theta:
two_theta, I/Imax
24.53, 100
33.94, 71
38.42, 59
31.20, 58
33.17, 43
45.35, 32
21.93, 31
51.65, 30
10.92, 27
19.31, 26

Atomic structure:
```
data_Y3Se3I
_cell_length_a 9.3596
_cell_length_b 9.3596
_cell_length_c 9.3596
_cell_angle_alpha 51.39
_cell_angle_beta 51.39
_cell_angle_gamma 51.39
_symmetry_space_group_name_H-M 'P 1'
_symmetry_Int_Tables_number 1
_symmetry_space_group_name_Hall 'P 1'
loop_
_atom_site_label
_atom_site_type_symbol
_atom_site_fract_x
_atom_site_fract_y
_atom_site_fract_z
_atom_site_occupancy
Y1 Y 0.1364 0.6995 0.3623 1
Y2 Y 0.3005 0.6377 0.8636 1
Y3 Y 0.3623 0.1364 0.6995 1
Y4 Y 0.6377 0.8636 0.3005 1
Y5 Y 0.6995 0.3623 0.1364 1
Y6 Y 0.8636 0.3005 0.6377 1
Se1 Se 0.0195 0.5679 0.2604 1
Se2 Se 0.2604 0.0195 0.5679 1
Se3 Se 0.4321 0.7396 0.9805 1
Se4 Se 0.5679 0.2604 0.0195 1
Se5 Se 0.7396 0.9805 0.4321 1
Se6 Se 0.9805 0.4321 0.7396 1
I1 I 0.1477 0.1477 0.1477 1
I2 I 0.8523 0.8523 0.8523 1
```

Calculated powder diffraction line list of Si23I for Cu Kα (weighted mean of Kα1 and Kα2), from a crystal structure in Alexandria, relaxed with GGA-PBE.

Largest 10 diffraction maxima, most intense first, 10 to 80 degrees two-theta:
two_theta, I/Imax
32.61, 100
12.18, 87
55.10, 42
19.32, 33
37.12, 26
53.51, 19
36.04, 11
44.99, 11
27.45, 11
24.50, 11

Atomic structure:
```
data_Si23I
_cell_length_a 10.2749
_cell_length_b 10.2749
_cell_length_c 10.2749
_cell_angle_alpha 90.00
_cell_angle_beta 90.00
_cell_angle_gamma 90.00
_symmetry_space_group_name_H-M 'P 1'
_symmetry_Int_Tables_number 1
_symmetry_space_group_name_Hall 'P 1'
loop_
_atom_site_label
_atom_site_type_symbol
_atom_site_fract_x
_atom_site_fract_y
_atom_site_fract_z
_atom_site_occupancy
Si1 Si 0.0000 0.1173 0.3085 1
Si2 Si 0.0000 0.1173 0.6915 1
Si3 Si 0.0000 0.2500 0.5000 1
Si4 Si 0.0000 0.7500 0.5000 1
Si5 Si 0.0000 0.8827 0.3085 1
Si6 Si 0.0000 0.8827 0.6915 1
Si7 Si 0.1173 0.3085 0.0000 1
Si8 Si 0.1173 0.6915 0.0000 1
Si9 Si 0.1838 0.1838 0.1838 1
Si10 Si 0.1838 0.1838 0.8162 1
Si11 Si 0.1838 0.8162 0.1838 1
Si12 Si 0.1838 0.8162 0.8162 1
Si13 Si 0.1915 0.3827 0.5000 1
Si14 Si 0.1915 0.6173 0.5000 1
Si15 Si 0.2500 0.5000 0.0000 1
Si16 Si 0.3085 0.0000 0.1173 1
Si17 Si 0.3085 0.0000 0.8827 1
Si18 Si 0.3162 0.3162 0.3162 1
Si19 Si 0.3162 0.3162 0.6838 1
Si20 Si 0.3162 0.6838 0.3162 1
Si21 Si 0.3162 0.6838 0.6838 1
Si22 Si 0.3827 0.5000 0.1915 1
Si23 Si 0.3827 0.5000 0.8085 1
Si24 Si 0.5000 0.0000 0.2500 1
Si25 Si 0.5000 0.0000 0.7500 1
Si26 Si 0.5000 0.1915 0.3827 1
Si27 Si 0.5000 0.1915 0.6173 1
Si28 Si 0.5000 0.8085 0.3827 1
Si29 Si 0.5000 0.8085 0.6173 1
Si30 Si 0.6173 0.5000 0.1915 1
Si31 Si 0.6173 0.5000 0.8085 1
Si32 Si 0.6838 0.3162 0.3162 1
Si33 Si 0.6838 0.3162 0.6838 1
Si34 Si 0.6838 0.6838 0.3162 1
Si35 Si 0.6838 0.6838 0.6838 1
Si36 Si 0.6915 0.0000 0.1173 1
Si37 Si 0.6915 0.0000 0.8827 1
Si38 Si 0.7500 0.5000 0.0000 1
Si39 Si 0.8085 0.3827 0.5000 1
Si40 Si 0.8085 0.6173 0.5000 1
Si41 Si 0.8162 0.1838 0.1838 1
Si42 Si 0.8162 0.1838 0.8162 1
Si43 Si 0.8162 0.8162 0.1838 1
Si44 Si 0.8162 0.8162 0.8162 1
Si45 Si 0.8827 0.3085 0.0000 1
Si46 Si 0.8827 0.6915 0.0000 1
I1 I 0.0000 0.0000 0.0000 1
I2 I 0.5000 0.5000 0.5000 1
```

Calculated powder diffraction line list of Si4I for Cu Kα (weighted mean of Kα1 and Kα2), from a crystal structure in Alexandria, relaxed with GGA-PBE.

Largest 10 diffraction maxima, most intense first, 10 to 80 degrees two-theta:
two_theta, I/Imax
16.78, 100
23.81, 87
33.93, 64
38.08, 50
48.74, 44
41.88, 38
51.91, 25
66.17, 19
54.95, 17
60.72, 15

Atomic structure:
```
data_Si4I
_cell_length_a 5.2840
_cell_length_b 5.2840
_cell_length_c 5.2840
_cell_angle_alpha 90.00
_cell_angle_beta 90.00
_cell_angle_gamma 90.00
_symmetry_space_group_name_H-M 'P 1'
_symmetry_Int_Tables_number 1
_symmetry_space_group_name_Hall 'P 1'
loop_
_atom_site_label
_atom_site_type_symbol
_atom_site_fract_x
_atom_site_fract_y
_atom_site_fract_z
_atom_site_occupancy
Si1 Si 0.0000 0.0000 0.0000 1
Si2 Si 0.0000 0.5000 0.5000 1
Si3 Si 0.5000 0.0000 0.5000 1
Si4 Si 0.5000 0.5000 0.0000 1
I1 I 0.5000 0.5000 0.5000 1
```

Calculated powder diffraction line list of Sm5Si2I2 for Cu Kα (weighted mean of Kα1 and Kα2), from a crystal structure in Alexandria, relaxed with GGA-PBE.

Largest 10 diffraction maxima, most intense first, 10 to 80 degrees two-theta:
two_theta, I/Imax
31.89, 100
32.44, 53
33.86, 48
25.02, 37
36.12, 36
36.29, 35
25.74, 32
57.14, 31
30.36, 28
38.08, 23

Atomic structure:
```
data_Sm5Si2I2
_cell_length_a 8.8683
_cell_length_b 8.8683
_cell_length_c 7.9213
_cell_angle_alpha 90.00
_cell_angle_beta 90.00
_cell_angle_gamma 53.38
_symmetry_space_group_name_H-M 'P 1'
_symmetry_Int_Tables_number 1
_symmetry_space_group_name_Hall 'P 1'
loop_
_atom_site_label
_atom_site_type_symbol
_atom_site_fract_x
_atom_site_fract_y
_atom_site_fract_z
_atom_site_occupancy
Sm1 Sm 0.0000 0.0000 0.0000 1
Sm2 Sm 0.0454 0.7149 0.6657 1
Sm3 Sm 0.2149 0.5454 0.1657 1
Sm4 Sm 0.2851 0.9546 0.6657 1
Sm5 Sm 0.4546 0.7851 0.1657 1
Sm6 Sm 0.5000 0.5000 0.5000 1
Sm7 Sm 0.5454 0.2149 0.8343 1
Sm8 Sm 0.7149 0.0454 0.3343 1
Sm9 Sm 0.7851 0.4546 0.8343 1
Sm10 Sm 0.9546 0.2851 0.3343 1
Si1 Si 0.1324 0.8676 0.3683 1
Si2 Si 0.3676 0.6324 0.8683 1
Si3 Si 0.6324 0.3676 0.1317 1
Si4 Si 0.8676 0.1324 0.6317 1
I1 I 0.2056 0.2056 0.0000 1
I2 I 0.2944 0.2944 0.5000 1
I3 I 0.7056 0.7056 0.5000 1
I4 I 0.7944 0.7944 0.0000 1
```

Calculated powder diffraction line list of Sm3SiI3 for Cu Kα (weighted mean of Kα1 and Kα2), from a crystal structure in Alexandria, relaxed with GGA-PBE.

Largest 10 diffraction maxima, most intense first, 10 to 80 degrees two-theta:
two_theta, I/Imax
28.71, 100
40.87, 22
41.27, 21
42.06, 14
51.75, 12
39.95, 10
29.98, 9
27.17, 8
12.20, 7
59.39, 6

Atomic structure:
```
data_Sm3SiI3
_cell_length_a 9.0287
_cell_length_b 4.2969
_cell_length_c 12.4182
_cell_angle_alpha 90.00
_cell_angle_beta 90.77
_cell_angle_gamma 90.00
_symmetry_space_group_name_H-M 'P 1'
_symmetry_Int_Tables_number 1
_symmetry_space_group_name_Hall 'P 1'
loop_
_atom_site_label
_atom_site_type_symbol
_atom_site_fract_x
_atom_site_fract_y
_atom_site_fract_z
_atom_site_occupancy
Sm1 Sm 0.0994 0.2500 0.3852 1
Sm2 Sm 0.1180 0.2500 0.8405 1
Sm3 Sm 0.3213 0.7500 0.6209 1
Sm4 Sm 0.6787 0.2500 0.3791 1
Sm5 Sm 0.8820 0.7500 0.1595 1
Sm6 Sm 0.9006 0.7500 0.6148 1
Si1 Si 0.1162 0.2500 0.6178 1
Si2 Si 0.8838 0.7500 0.3822 1
I1 I 0.1367 0.2500 0.1195 1
I2 I 0.3711 0.7500 0.8750 1
I3 I 0.3846 0.7500 0.3667 1
I4 I 0.6154 0.2500 0.6333 1
I5 I 0.6289 0.2500 0.1250 1
I6 I 0.8633 0.7500 0.8805 1
```

Calculated powder diffraction line list of Sm6TlSi2I3 for Cu Kα (weighted mean of Kα1 and Kα2), from a crystal structure in Alexandria, relaxed with GGA-PBE.

Largest 10 diffraction maxima, most intense first, 10 to 80 degrees two-theta:
two_theta, I/Imax
28.44, 100
28.21, 48
41.02, 36
39.96, 31
42.21, 18
51.54, 18
39.06, 15
31.05, 15
58.85, 9
67.25, 9

Atomic structure:
```
data_Sm6TlSi2I3
_cell_length_a 10.0845
_cell_length_b 10.0845
_cell_length_c 9.2308
_cell_angle_alpha 105.28
_cell_angle_beta 105.28
_cell_angle_gamma 24.52
_symmetry_space_group_name_H-M 'P 1'
_symmetry_Int_Tables_number 1
_symmetry_space_group_name_Hall 'P 1'
loop_
_atom_site_label
_atom_site_type_symbol
_atom_site_fract_x
_atom_site_fract_y
_atom_site_fract_z
_atom_site_occupancy
Sm1 Sm 0.0173 0.0173 0.2476 1
Sm2 Sm 0.3203 0.3203 0.4401 1
Sm3 Sm 0.3368 0.3368 0.8683 1
Sm4 Sm 0.6632 0.6632 0.1317 1
Sm5 Sm 0.6797 0.6797 0.5599 1
Sm6 Sm 0.9827 0.9827 0.7524 1
Tl1 Tl 0.5000 0.5000 0.0000 1
Si1 Si 0.1684 0.1684 0.3426 1
Si2 Si 0.8316 0.8316 0.6574 1
I1 I 0.1659 0.1659 0.8354 1
I2 I 0.5000 0.5000 0.5000 1
I3 I 0.8341 0.8341 0.1646 1
```